Diffraction record for Ba6NaSrRh. The X-ray powder pattern is simulated, not measured: it uses DFT lattice parameters and positions (GGA-PBE) and Cu Kα (weighted mean of Kα1 and Kα2).

Most intense lines, 10 to 90 degrees two-theta, in order of rising 2θ:
- hkl 1 1 0, 7.675 Å, 11.53 deg, I = 23
- hkl 2 0 1, 5.300 Å, 16.73 deg, I = 14
- hkl 0 0 2, 3.663 Å, 24.30 deg, I = 20
- hkl 2 2 -1, 3.399 Å, 26.21 deg, I = 100
- hkl 4 0 2, 2.650 Å, 33.83 deg, I = 26
- hkl 6 2 0, 2.216 Å, 40.72 deg, I = 25
- hkl 2 2 3, 2.060 Å, 43.95 deg, I = 25
- hkl 0 4 2, 1.896 Å, 47.99 deg, I = 19
- hkl 8 0 -1, 1.856 Å, 49.08 deg, I = 18
- hkl 8 4 -1, 1.423 Å, 65.62 deg, I = 15

Atomic structure:
```
data_Ba6NaSrRh
_chemical_formula_sum 'Ba12 Na2 Sr2 Rh2'
_cell_length_a 15.3457
_cell_length_b 8.8649
_cell_length_c 7.3267
_cell_angle_alpha 90.00
_cell_angle_beta 90.01
_cell_angle_gamma 90.00
_symmetry_space_group_name_H-M 'C 1 m 1'
_symmetry_Int_Tables_number 8
loop_
_symmetry_equiv_pos_as_xyz
'x,y,z'
'x,-y,z'
'x+1/2,y+1/2,z'
'x+1/2,-y+1/2,z'
loop_
_atom_site_label
_atom_site_type_symbol
_atom_site_fract_x
_atom_site_fract_y
_atom_site_fract_z
_atom_site_occupancy
Ba1 Ba 0.0000 0.0000 0.0000 1
Ba2 Ba 0.0811 0.2461 0.4755 1
Ba3 Ba 0.2454 0.2455 0.0009 1
Ba4 Ba 0.3274 0.0000 0.4764 1
Na1 Na 0.4969 0.0000 0.9863 1
Sr1 Sr 0.3299 0.5000 0.4982 1
Rh1 Rh 0.1634 0.0000 0.2369 1
```